Simulated X-ray diffraction stick pattern
Compound: Cs3HgCl5
Radiation: λ = 1.5418 Å (Cu Kα)
Structure: a GGA-PBE-relaxed structure
Kinematic intensities with the Lorentz-polarization factor, no thermal factor.

Structure:
Unit cell a=9.2305 b=10.9336 c=13.8716 alpha=90.00 beta=90.00 gamma=90.00
Space group Pnma (No. 62)
Symmetry-distinct sites (fractional):
Cs 0.0886 0.2500 0.0461
Cs 0.0931 0.0264 0.3317
Hg 0.1978 0.2500 0.6140
Cl 0.0360 0.7500 0.4892
Cl 0.1296 0.2500 0.7894
Cl 0.1563 0.7500 0.7638
Cl 0.1868 0.5512 0.0648

Principal peaks in the range 15° ≤ 2θ ≤ 90°, by angle:
2θ (°)  intensity  (hkl)
20.89  562  2 1 0
21.49  550  1 0 3
22.84  984  1 2 2
23.00  322  1 1 3
26.07  1000  2 2 1
27.47  467  1 0 4
29.33  347  1 3 2
30.87  294  3 1 1
32.76  604  0 4 0
39.56  308  4 0 1